This entry pairs a crystal structure of TaNiP2 with its calculated powder XRD pattern. Radiation: a wavelength of 1.5418 Å. Structure: a structure optimized by DFT (PBE).
Lines closer than 0.1° are merged.

Main lines, by intensity (10° ≤ 2θ ≤ 80°):
index  d (Å)  I_rel
1 1 4  2.075  100.0
0 1 1  3.220  41.8
1 0 3  3.245  38.2
2 0 0  2.713  24.6
1 1 2  2.576  22.4
3 0 3  1.652  15.0
1 1 8  1.339  14.1
1 0 5  2.217  14.1

Structural model:
Lattice parameters (Å, degrees): 5.426 3.340 12.146 90.00 90.00 90.00
Space group Pnma (No. 62)
Inequivalent atoms, fractional coordinates:
Ta 0.019 0.250 0.170 (multiplicity 4)
Ni 0.027 0.250 0.414 (multiplicity 4)
P 0.135 0.250 0.690 (multiplicity 4)
P 0.189 0.250 0.965 (multiplicity 4)